For Ca2LaHPb, the GGA-PBE geometry in Alexandria gives the computed powder XRD pattern in this record (Cu Ka).

Structure:
Cell lengths 5.0842, 5.0842, 4.9906 Å; angles 90.00, 90.00, 90.00 degrees
Space group P4/mmm (No. 123)
One atom of each set of equivalent atoms:
Ca1 0.0000 0.5000 0.0000 x2
La1 0.0000 0.0000 0.5000 x1
H1 0.0000 0.0000 0.0000 x1
Pb1 0.5000 0.5000 0.5000 x1

Main lines, sorted by position (2θ from 10° to 80°):
2theta	I_rel
17.8	32
24.8	31
30.6	100
35.3	35
36.0	16
39.8	18
44.2	14
51.3	24
60.5	28
61.4	14